(1)
Computed powder XRD pattern of Ba3Nb2CoO9 for copper Kα, from a cell relaxed with PBE+U.
Neutral-atom scattering factors, no anomalous dispersion.

Principal peaks in the range 2θ = 15–90°, by angle:
2θ 30.48, d = 2.933 Å, I 1000; 2θ 37.56, d = 2.394 Å, I 90; 2θ 43.61, d = 2.076 Å, I 213; 2θ 43.73, d = 2.070 Å, I 105; 2θ 54.15, d = 1.694 Å, I 295; 2θ 54.25, d = 1.691 Å, I 98; 2θ 63.40, d = 1.467 Å, I 129; 2θ 63.52, d = 1.465 Å, I 65; 2θ 71.94, d = 1.313 Å, I 114; 2θ 88.11, d = 1.109 Å, I 86

Crystal structure
```
data_Ba3Nb2CoO9
_chemical_formula_sum 'Ba6 Nb4 Co2 O18'
_cell_length_a 10.140
_cell_length_b 5.870
_cell_length_c 7.191
_cell_angle_alpha 90.00
_cell_angle_beta 90.12
_cell_angle_gamma 90.00
_symmetry_space_group_name_H-M 'C 1 2/m 1'
_symmetry_Int_Tables_number 12
_symmetry_space_group_name_Hall '-C 2y'
loop_
_atom_site_label
_atom_site_type_symbol
_atom_site_fract_x
_atom_site_fract_y
_atom_site_fract_z
_atom_site_occupancy
Ba1 Ba 0.000 0.000 0.000 1
Ba2 Ba 0.167 0.500 0.665 1
Nb1 Nb 0.167 0.500 0.178 1
Co1 Co 0.000 0.000 0.500 1
O1 O 0.000 0.500 0.000 1
O2 O 0.086 0.257 0.325 1
O3 O 0.171 0.000 0.674 1
O4 O 0.250 0.250 0.000 1
```

***

(2)
Computed powder XRD pattern of Ba6Nb9CoO30 for copper Kα, from a cell relaxed with PBE+U.
Neutral-atom scattering factors, no anomalous dispersion.

Principal peaks in the range 2θ = 15–90°, by angle:
2θ 25.14, d = 3.542 Å, I 197; 2θ 26.93, d = 3.311 Å, I 665; 2θ 28.75, d = 3.105 Å, I 575; 2θ 29.55, d = 3.022 Å, I 362; 2θ 31.21, d = 2.866 Å, I 1000; 2θ 31.32, d = 2.856 Å, I 144; 2θ 44.66, d = 2.029 Å, I 293; 2θ 48.19, d = 1.888 Å, I 177; 2θ 53.98, d = 1.699 Å, I 189; 2θ 55.52, d = 1.655 Å, I 203

Crystal structure
```
data_Ba6Nb9CoO30
_chemical_formula_sum 'Ba12 Nb18 Co2 O60'
_cell_length_a 18.057
_cell_length_b 18.143
_cell_length_c 4.059
_cell_angle_alpha 90.00
_cell_angle_beta 90.00
_cell_angle_gamma 90.00
_symmetry_space_group_name_H-M 'C m m 2'
_symmetry_Int_Tables_number 35
_symmetry_space_group_name_Hall 'C 2 -2'
loop_
_atom_site_label
_atom_site_type_symbol
_atom_site_fract_x
_atom_site_fract_y
_atom_site_fract_z
_atom_site_occupancy
Ba1 Ba 0.000 0.176 0.000 1
Ba2 Ba 0.157 0.500 0.992 1
Ba3 Ba 0.250 0.250 0.990 1
Nb1 Nb 0.000 0.000 0.544 1
Nb2 Nb 0.104 0.323 0.482 1
Nb3 Nb 0.181 0.106 0.469 1
Co1 Co 0.000 0.500 0.498 1
O1 O 0.000 0.000 0.000 1
O2 O 0.000 0.281 0.503 1
O3 O 0.000 0.500 0.997 1
O4 O 0.075 0.081 0.495 1
O5 O 0.081 0.424 0.498 1
O6 O 0.106 0.312 0.002 1
O7 O 0.146 0.211 0.502 1
O8 O 0.188 0.107 0.002 1
O9 O 0.213 0.353 0.502 1
O10 O 0.218 0.000 0.503 1
```